[1]
Structure and simulated powder diffraction line list of SmErTl2 (DFT lattice parameters and positions (GGA-PBE); Cu Kα (λ = 1.5418 Å)).
Lines closer than 0.1° are merged.

Crystal structure
a = 7.6326 Å, b = 7.6326 Å, c = 7.6326 Å
α = 90.00°, β = 90.00°, γ = 90.00°
Space group Fm-3m (No. 225)
Symmetry-distinct sites (fractional):
Sm  0.0000  0.0000  0.0000 [4 per cell]
Er  0.0000  0.0000  0.5000 [4 per cell]
Tl  0.2500  0.2500  0.2500 [8 per cell]

Top 9 peaks for 2θ = 10–90°, low angle first:
2θ (°), d_spacing, intensity, index
23.31, 3.816, 2, 2 0 0
33.20, 2.699, 100, 2 2 0
40.96, 2.203, 1, 2 2 2
47.66, 1.908, 18, 4 0 0
53.71, 1.707, 1, 4 2 0
59.32, 1.558, 39, 4 2 2
69.69, 1.349, 12, 4 4 0
79.41, 1.207, 17, 6 2 0
88.82, 1.102, 4, 4 4 4

***

[2]
Structure and simulated powder diffraction line list of SmErZn2 (DFT lattice parameters and positions (GGA-PBE); Cu Kα (λ = 1.5418 Å)).
Lines closer than 0.1° are merged.

Crystal structure
a = 7.1868 Å, b = 7.1868 Å, c = 7.1868 Å
α = 90.00°, β = 90.00°, γ = 90.00°
Space group Fm-3m (No. 225)
Symmetry-distinct sites (fractional):
Sm  0.0000  0.0000  0.0000 [4 per cell]
Er  0.0000  0.0000  0.5000 [4 per cell]
Zn  0.2500  0.2500  0.2500 [8 per cell]

Top 9 peaks for 2θ = 10–90°, low angle first:
2θ (°), d_spacing, intensity, index
24.78, 3.593, 17, 2 0 0
35.32, 2.541, 100, 2 2 0
43.63, 2.075, 5, 2 2 2
50.82, 1.797, 18, 4 0 0
57.33, 1.607, 7, 4 2 0
63.40, 1.467, 36, 4 2 2
74.72, 1.270, 11, 4 4 0
80.12, 1.198, 4, 6 0 0
85.44, 1.136, 16, 6 2 0

***

Which formula does entry 1 have?
SmErTl2